# 1
Diffraction record for Cs2RbRhI6. The powder X-ray diffraction pattern is calculated, not measured: it uses a DFT-relaxed cell (PBE, Alexandria) and Cu Kα (λ = 1.5418 Å).
Kinematic intensities with the Lorentz-polarization factor, no thermal factor.

abc: 8.3491 12.3544 9.4059
angles: 90.00 90.00 90.00
Space group Pmmn (No. 59, origin choice 2)
Unique sites:
Cs 0.2500 0.0231 0.2053 (multiplicity 4)
Rb 0.2500 0.2500 0.7022 (multiplicity 2)
Rh 0.2500 0.7500 0.7904 (multiplicity 2)
I 0.0202 0.7500 0.5870 (multiplicity 4)
I 0.0215 0.7500 0.9964 (multiplicity 4)
I 0.2500 0.5304 0.7909 (multiplicity 4)

Main lines, by angle (2θ = 10–80°):
2θ (°), I_rel, index
11.83, 50, 0 1 1
20.22, 25, 1 2 1
23.78, 66, 0 2 2
25.76, 85, 2 2 0
28.59, 100, 2 0 2
28.90, 70, 0 4 0
29.51, 25, 2 1 2
32.00, 50, 0 2 3
41.11, 60, 2 4 2
55.61, 32, 2 2 5

# 2
Diffraction record for KTeCS2. The powder X-ray diffraction pattern is calculated, not measured: it uses a DFT-relaxed cell (PBE, Alexandria) and Cu Kα (λ = 1.5418 Å).
Kinematic intensities with the Lorentz-polarization factor, no thermal factor.

abc: 5.2221 5.2221 6.4669
angles: 90.00 90.00 90.00
Space group P4/mmm (No. 123)
Unique sites:
K 0.0000 0.0000 0.0000 (multiplicity 1)
Te 0.0000 0.0000 0.5000 (multiplicity 1)
C 0.5000 0.5000 0.5000 (multiplicity 1)
S 0.0000 0.5000 0.0000 (multiplicity 2)

Main lines, by angle (2θ = 10–80°):
2θ (°), I_rel, index
16.98, 100, 1 0 0
21.88, 22, 1 0 1
24.10, 22, 1 1 0
27.59, 40, 0 0 2
27.82, 68, 1 1 1
32.57, 40, 1 0 2
34.35, 43, 2 0 0
38.55, 25, 2 1 0
44.61, 39, 2 0 2
48.06, 26, 2 1 2